Diffraction record for AcBe5P4. The XRD peak list is simulated, not measured: it uses a PBE-relaxed structure and a wavelength of 1.5418 Å.

Peak list (6 most intense, 2θ = 10–80°, in order of rising 2θ)
| 2θ (°) | I/Imax | h k l |
| --- | --- | --- |
| 14.8 | 98 | 1 1 0 |
| 16.4 | 56 | 0 2 0 |
| 27.6 | 33 | 1 3 0 |
| 31.5 | 100 | 1 2 1 |
| 33.1 | 30 | 0 4 0 |
| 35.5 | 62 | 2 1 1 |

Cell and atoms:
Cell lengths 7.2006, 10.8269, 3.7564 Å; angles 90.00, 90.00, 90.00 degrees
Space group Pmmn (No. 59, origin choice 2)
Inequivalent atoms, fractional coordinates:
Ac 0.2500 0.2500 0.2482
Be 0.0340 0.5565 0.2499
Be 0.2500 0.7500 0.7522
P 0.0749 0.7500 0.2521
P 0.2500 0.5134 0.7496